Calculated powder X-ray diffraction pattern of PmFe2IrO6 for a wavelength of 1.5418 Å, from the PBE+U geometry in Alexandria.

Structure:
Lattice parameters (Å, degrees): 5.6836 5.6836 5.6836 57.42 57.42 57.42
Atoms (fractional coordinates):
Pm 0.0000 0.0000 0.0000
Fe 0.2723 0.2723 0.2723
Fe 0.7855 0.7855 0.7855
Ir 0.4786 0.4786 0.4786
O 0.0907 0.6412 0.4259
O 0.2091 0.5449 0.8869
O 0.4259 0.0907 0.6412
O 0.5449 0.8869 0.2091
O 0.6412 0.4259 0.0907
O 0.8869 0.2091 0.5449

Top 6 peaks for 2θ from 15° to 90°, sorted by position:
| d [Å] | I/Imax |
| --- | --- |
| 3.935 | 85 |
| 2.837 | 100 |
| 2.730 | 100 |
| 1.967 | 38 |
| 1.787 | 45 |
| 1.596 | 38 |